Starting from DFT lattice parameters and positions (GGA-PBE), the XRD peak list of Si5Ir4 was computed for copper Kα.
No peak broadening, texture or thermal motion is included.

Largest 10 diffraction maxima, most intense first, 2θ = 15–90°:
| hkl | 2theta | I_rel |
| --- | --- | --- |
| 1 1 0 | 28.8 | 100 |
| 0 0 4 | 29.1 | 42 |
| 1 1 4 | 43.4 | 40 |
| 2 1 -3 | 42.6 | 32 |
| 1 1 -5 | 45.0 | 26 |
| 0 2 0 | 49.9 | 22 |
| 1 0 -3 | 24.3 | 15 |
| 2 0 0 | 30.6 | 14 |
| 1 1 -4 | 39.4 | 14 |
| 3 0 -3 | 48.1 | 13 |

Cell: 5.9434 3.6528 12.4514 Å, 90.00 100.03 90.00°
Space group P2_1/m (No. 11)
Asymmetric unit:
1 Si 0.0087 0.2500 0.0784
2 Si 0.0278 0.2500 0.7754
3 Si 0.1428 0.7500 0.6371
4 Si 0.3905 0.7500 0.4242
5 Si 0.4783 0.2500 0.1410
6 Ir 0.1998 0.2500 0.4985
7 Ir 0.2102 0.2500 0.2688
8 Ir 0.2812 0.2500 0.9507
9 Ir 0.3925 0.2500 0.7263